Computed powder X-ray diffraction pattern of ScBe2Cu for λ = 1.5418 Å (Cu Kα), from a GGA-PBE-relaxed structure.
Intensities are scaled so that the largest is 100.

Peak list (10 most intense, 10° ≤ 2θ ≤ 90°, by angle)
| Position (°2θ) | I (rel.) |
| --- | --- |
| 26.4 | 93 |
| 30.6 | 5 |
| 43.8 | 100 |
| 51.9 | 41 |
| 54.4 | 1 |
| 63.7 | 15 |
| 70.2 | 15 |
| 72.3 | 2 |
| 80.5 | 29 |
| 86.5 | 11 |

a b c (Å): 5.8469 5.8469 5.8469
angles (deg): 90.00 90.00 90.00
Space group F-43m (No. 216)
Symmetry-distinct sites (fractional):
Sc 0.0000 0.0000 0.0000
Be 0.0000 0.0000 0.5000
Be 0.2500 0.2500 0.7500
Cu 0.2500 0.2500 0.2500